# KPHO3F
Simulated powder diffraction line list, Cu Kα (λ = 1.5418 Å). Input: a structure optimized by DFT (PBE).
Intensities are scaled so that the largest is 100.

Cell and atoms:
Lattice parameters (Å, degrees): 7.4350 14.3008 7.7864 90.00 90.51 90.00
Space group P2_1 (No. 4)
Symmetry-distinct sites (fractional):
K: 0.0111 0.0000 0.3041 (multiplicity 2)
K: 0.2989 0.4967 0.2268 (multiplicity 2)
K: 0.3021 0.7384 0.9134 (multiplicity 2)
K: 0.3714 0.2678 0.5702 (multiplicity 2)
P: 0.1541 0.7393 0.3865 (multiplicity 2)
P: 0.1911 0.2569 0.0914 (multiplicity 2)
P: 0.2029 0.9941 0.7817 (multiplicity 2)
P: 0.4449 0.5124 0.7258 (multiplicity 2)
H: 0.0335 0.3112 0.8674 (multiplicity 2)
H: 0.0821 0.0985 0.9770 (multiplicity 2)
H: 0.1908 0.8537 0.5800 (multiplicity 2)
H: 0.3677 0.9529 0.0771 (multiplicity 2)
O: 0.0006 0.7984 0.3161 (multiplicity 2)
O: 0.0526 0.0449 0.8841 (multiplicity 2)
O: 0.0653 0.3291 0.9948 (multiplicity 2)
O: 0.0985 0.1626 0.1105 (multiplicity 2)
O: 0.1194 0.9442 0.6299 (multiplicity 2)
O: 0.2468 0.7886 0.5460 (multiplicity 2)
O: 0.2814 0.3004 0.2425 (multiplicity 2)
O: 0.2899 0.6990 0.2669 (multiplicity 2)
O: 0.3304 0.5480 0.8706 (multiplicity 2)
O: 0.3353 0.9386 0.8897 (multiplicity 2)
O: 0.3531 0.4627 0.5792 (multiplicity 2)
O: 0.3844 0.9556 0.2097 (multiplicity 2)
F: 0.0568 0.6519 0.4794 (multiplicity 2)
F: 0.3192 0.0792 0.7049 (multiplicity 2)
F: 0.3457 0.2389 0.9478 (multiplicity 2)
F: 0.4599 0.1037 0.3559 (multiplicity 2)

Main lines, most intense first (2θ from 10° to 90°):
- hkl 0 4 0, 24.91 deg, I 100
- hkl 2 1 -1, 27.22 deg, I 89
- hkl 0 2 2, 26.06 deg, I 83
- hkl 2 1 1, 27.40 deg, I 51
- hkl 0 1 2, 23.69 deg, I 50
- hkl 2 5 -1, 41.41 deg, I 25
- hkl 0 3 2, 29.63 deg, I 25
- hkl 2 0 -3, 42.29 deg, I 17
- hkl 2 1 2, 34.07 deg, I 17
- hkl 1 0 3, 36.79 deg, I 15